Simulated PXRD pattern of MnP3O9 for Cu Kα, 1.54184 Å, from a DFT-relaxed cell (PBE+U, the Materials Project).
Peak positions follow from Bragg's law for the DFT cell and can differ from measured ones.

Most intense lines, 10 to 90 degrees two-theta, sorted by position:
h k l  2θ (°)  I (rel.)
1 0 0  13.07  100
0 1 -1  18.48  32
1 1 1  18.88  68
1 1 -1  20.99  30
0 0 2  24.55  25
0 1 2  26.71  33
1 1 2  27.79  61
0 2 -1  29.55  49
2 2 0  31.79  34
2 -1 0  32.28  48

Structural model:
```
data_MnP3O9
_cell_length_a 7.032
_cell_length_b 7.216
_cell_length_c 7.299
_cell_angle_alpha 84.03
_cell_angle_beta 86.08
_cell_angle_gamma 74.66
_symmetry_space_group_name_H-M 'P -1'
_symmetry_Int_Tables_number 2
_symmetry_space_group_name_Hall '-P 1'
loop_
_atom_site_label
_atom_site_type_symbol
_atom_site_fract_x
_atom_site_fract_y
_atom_site_fract_z
Mn1 Mn 0.067 0.149 0.173
P1 P 0.037 0.224 0.646
P2 P 0.246 0.438 0.865
P3 P 0.371 0.765 0.308
O1 O 0.082 0.051 0.792
O2 O 0.082 0.190 0.449
O3 O 0.150 0.376 0.696
O4 O 0.182 0.656 0.861
O5 O 0.190 0.660 0.319
O6 O 0.205 0.329 0.044
O7 O 0.306 0.949 0.175
O8 O 0.446 0.772 0.488
O9 O 0.476 0.385 0.820
```